Diffraction record for Sm2IBrO2. The PXRD pattern is calculated, not measured: it uses a crystal structure in OQMD, relaxed with PBE and Cu Kα.
Peak positions follow from Bragg's law for the DFT cell and can differ from measured ones.

Main lines, low angle first (5 to 70 degrees two-theta):
2theta  I/Imax
10.32  18
30.65  100
31.79  43
45.58  20
53.76  18
55.93  36

Crystal structure
Cell lengths 3.980, 3.980, 8.573 Å; angles 90.00, 90.00, 90.00 degrees
Space group P4mm (No. 99)
Symmetry-distinct sites (fractional):
Sm1 0.000 0.000 0.000 (multiplicity 1)
Sm2 0.500 0.500 0.273 (multiplicity 1)
I1 0.500 0.500 0.777 (multiplicity 1)
Br1 0.000 0.000 0.460 (multiplicity 1)
O1 0.000 0.500 0.135 (multiplicity 2)